Calculated XRD peak list of Li3Co4F12 for Cu Kα (weighted mean of Kα1 and Kα2), from a GGA+U-relaxed structure.
Peak positions follow from Bragg's law for the DFT cell and can differ from measured ones.

Crystal structure
Cell: 6.578 6.578 6.578 Å, 109.47 109.47 109.47°
Element x y z (fractional)
Li 0.000 0.500 0.500
Li 0.500 0.000 0.500
Li 0.500 0.500 0.000
Co 0.000 0.000 0.500
Co 0.000 0.500 0.000
Co 0.500 0.000 0.000
Co 0.500 0.500 0.500
F 0.130 0.315 0.815
F 0.185 0.500 0.315
F 0.185 0.870 0.685
F 0.315 0.185 0.500
F 0.315 0.815 0.130
F 0.500 0.315 0.185
F 0.500 0.685 0.815
F 0.685 0.185 0.870
F 0.685 0.815 0.500
F 0.815 0.130 0.315
F 0.815 0.500 0.685
F 0.870 0.685 0.185

The 10 most intense peaks (15 to 90 degrees two-theta), by angle:
2θ = 23.42°, I = 100
2θ = 33.36°, I = 42
2θ = 37.44°, I = 19
2θ = 44.64°, I = 10
2θ = 47.90°, I = 21
2θ = 53.99°, I = 43
2θ = 59.63°, I = 35
2θ = 75.03°, I = 10
2θ = 79.87°, I = 9
2θ = 84.63°, I = 9